# 1
Starting from the PBE geometry in Alexandria, the powder X-ray diffraction pattern of AgSb2Pd7 was simulated for Cu Kα X-rays.

Main lines, low angle first (2θ from 15° to 90°):
- (1 0 1), 2θ = 22.24°, I 5.2
- (1 0 3), 2θ = 25.04°, I 17.4
- (1 1 6), 2θ = 39.83°, I 100.0
- (1 0 9), 2θ = 43.14°, I 4.0
- (2 0 0), 2θ = 44.58°, I 37.3
- (0 0 12), 2θ = 49.66°, I 11.8
- (2 1 3), 2θ = 51.81°, I 4.6
- (2 2 0), 2θ = 64.88°, I 11.9
- (2 0 12), 2θ = 68.92°, I 17.2
- (3 1 6), 2θ = 78.90°, I 26.0
- (2 2 12), 2θ = 85.88°, I 9.6
- (1 1 18), 2θ = 86.41°, I 8.3

Structural model:
```
data_AgSb2Pd7
_cell_length_a 4.065
_cell_length_b 4.065
_cell_length_c 22.030
_cell_angle_alpha 90.00
_cell_angle_beta 90.00
_cell_angle_gamma 90.00
_symmetry_space_group_name_H-M 'I 4/m m m'
_symmetry_Int_Tables_number 139
_symmetry_space_group_name_Hall '-I 4 2'
loop_
_atom_site_label
_atom_site_type_symbol
_atom_site_fract_x
_atom_site_fract_y
_atom_site_fract_z
Ag1 Ag 0.000 0.000 0.000
Sb1 Sb 0.000 0.000 0.332
Pd1 Pd 0.000 0.000 0.500
Pd2 Pd 0.000 0.500 0.091
Pd3 Pd 0.000 0.500 0.250
```



# 2
Starting from the PBE geometry in Alexandria, the powder X-ray diffraction pattern of AgSb6Pd was simulated for Cu Kα X-rays.

Main lines, low angle first (2θ from 15° to 90°):
- (2 0 -3), 2θ = 28.79°, I 46.1
- (3 1 0), 2θ = 28.95°, I 98.5
- (4 0 -3), 2θ = 29.06°, I 54.7
- (1 3 -1), 2θ = 29.18°, I 100.0
- (3 3 -2), 2θ = 34.65°, I 27.8
- (2 0 -4), 2θ = 41.11°, I 25.3
- (4 2 0), 2θ = 41.45°, I 44.0
- (6 0 -2), 2θ = 41.67°, I 62.7
- (2 2 -4), 2θ = 45.36°, I 22.7
- (6 2 -2), 2θ = 45.85°, I 27.1
- (2 4 1), 2θ = 47.70°, I 20.4
- (5 3 -4), 2θ = 47.84°, I 47.8

Structural model:
```
data_AgSb6Pd
_cell_length_a 13.700
_cell_length_b 9.670
_cell_length_c 9.760
_cell_angle_alpha 90.00
_cell_angle_beta 134.56
_cell_angle_gamma 90.00
_symmetry_space_group_name_H-M 'C 1 2/m 1'
_symmetry_Int_Tables_number 12
loop_
_symmetry_equiv_pos_as_xyz
'x,y,z'
'-x,-y,-z'
'-x,y,-z'
'x,-y,z'
'x+1/2,y+1/2,z'
'-x+1/2,-y+1/2,-z'
'-x+1/2,y+1/2,-z'
'x+1/2,-y+1/2,z'
loop_
_atom_site_label
_atom_site_type_symbol
_atom_site_fract_x
_atom_site_fract_y
_atom_site_fract_z
Ag1 Ag 0.250 0.250 0.000
Sb1 Sb 0.007 0.153 0.358
Sb2 Sb 0.142 0.500 0.791
Sb3 Sb 0.151 0.349 0.160
Sb4 Sb 0.157 0.500 0.504
Pd1 Pd 0.250 0.250 0.500
```